For Pa11Cr4Ga9, DFT lattice parameters and positions (GGA-PBE) gives the theoretical XRD peak list in this record (a wavelength of 1.5418 Å).
Neutral-atom scattering factors, no anomalous dispersion.

Atomic structure:
Cell: 11.3864 11.3864 4.0707 Å, 90.00 90.00 112.61°
Element x y z (fractional)
Pa1 0.0000 0.0000 0.0000
Pa2 0.0774 0.4152 0.0000
Pa3 0.1636 0.8364 0.0000
Pa4 0.3059 0.3059 0.0000
Pa5 0.3700 0.6300 0.0000
Pa6 0.4152 0.0774 0.0000
Pa7 0.5848 0.9226 0.0000
Pa8 0.6300 0.3700 0.0000
Pa9 0.6941 0.6941 0.0000
Pa10 0.8364 0.1636 0.0000
Pa11 0.9226 0.5848 0.0000
Cr1 0.2559 0.4524 0.5000
Cr2 0.4524 0.2559 0.5000
Cr3 0.5476 0.7441 0.5000
Cr4 0.7441 0.5476 0.5000
Ga1 0.0676 0.2152 0.5000
Ga2 0.1515 0.6297 0.5000
Ga3 0.2152 0.0676 0.5000
Ga4 0.3703 0.8485 0.5000
Ga5 0.5000 0.5000 0.5000
Ga6 0.6297 0.1515 0.5000
Ga7 0.7848 0.9324 0.5000
Ga8 0.8485 0.3703 0.5000
Ga9 0.9324 0.7848 0.5000

Largest 12 diffraction maxima, most intense first, 2θ from 10° to 90°:
- 35.99 deg, I = 100
- 40.39 deg, I = 29
- 21.83 deg, I = 29
- 28.26 deg, I = 25
- 44.52 deg, I = 21
- 61.67 deg, I = 20
- 76.37 deg, I = 18
- 38.86 deg, I = 16
- 31.76 deg, I = 10
- 53.57 deg, I = 10
- 70.59 deg, I = 10
- 33.75 deg, I = 10